[1]
This entry pairs a crystal structure of LiIrN2 with its simulated powder diffractogram. Radiation: copper Kα. Structure: a crystal structure in the Materials Project, relaxed with GGA-PBE.

The 10 most intense peaks (5° ≤ 2θ ≤ 70°), by angle:
2θ (°)  Rel. int.
21.5  100
33.5  71
34.7  27
39.1  18
45.0  27
53.2  18
55.9  20
56.5  10
66.3  10
67.2  19

```
LiIrN2
1.0
-2.3052 2.3052 4.6905
2.3052 -2.3052 4.6905
2.3052 2.3052 -4.6905
Li Ir N
2 2 4
direct
0.0000 0.0000 0.0000
0.7500 0.2500 0.5000
0.2500 0.7500 0.5000
0.5000 0.5000 0.0000
0.1625 0.6250 0.0375
0.3750 0.4125 0.5375
0.5875 0.1250 0.9625
0.8750 0.8375 0.4625
```


[2]
This entry pairs a crystal structure of LiNpIr2 with its simulated powder diffractogram. Radiation: copper Kα. Structure: a crystal structure in the Materials Project, relaxed with GGA-PBE.

The 8 most intense peaks (5° ≤ 2θ ≤ 70°), by angle:
2θ (°)  Rel. int.
24.0  33
27.8  7
39.7  100
46.9  17
49.2  2
57.4  17
63.1  7
65.0  2

```
LiNpIr2
1.0
0.0000 3.2096 3.2096
3.2096 0.0000 3.2096
3.2096 3.2096 0.0000
Li Np Ir
1 1 2
direct
0.0000 0.0000 0.0000
0.5000 0.5000 0.5000
0.2500 0.2500 0.2500
0.7500 0.7500 0.7500
```